The following is a simulated powder diffractogram of Na3CeC4O12. It was derived from a crystal structure in Alexandria, relaxed with GGA-PBE, using λ = 1.5418 Å (Cu Kα).

Most intense lines, 10 to 90 degrees two-theta, by intensity:
- (2 0 2), d = 3.107 Å, rel. 100.0
- (1 0 1), d = 6.214 Å, rel. 71.9
- (1 1 0), d = 5.012 Å, rel. 40.0
- (2 2 3), d = 1.914 Å, rel. 27.9
- (0 1 2), d = 3.959 Å, rel. 27.9
- (2 1 1), d = 3.079 Å, rel. 26.3
- (0 2 4), d = 1.980 Å, rel. 24.9
- (2 2 0), d = 2.506 Å, rel. 20.1

Structure:
```
data_Na3CeC4O12
_chemical_formula_sum 'Na9 Ce3 C12 O36'
_symmetry_space_group_name_H-M 'R 3 2'
_symmetry_Int_Tables_number 155
_symmetry_space_group_name_Hall 'R 3 2"'
_cell_length_a 10.0249
_cell_length_b 10.0249
_cell_length_c 8.8983
_cell_angle_alpha 90.00
_cell_angle_beta 90.00
_cell_angle_gamma 120.00
loop_
_atom_site_label
_atom_site_fract_x
_atom_site_fract_y
_atom_site_fract_z
_atom_site_occupancy
Na1 0.0000 0.5207 0.0000 1
Ce1 0.0000 0.0000 0.0000 1
C1 0.0000 0.0000 0.5000 1
C2 0.0000 0.4840 0.5000 1
O1 0.0000 0.6095 0.5000 1
O2 0.0000 0.8729 0.5000 1
O3 0.0189 0.2029 0.8456 1
```